Na4HfTe4: calculated powder diffraction line list (λ = 1.5418 Å (Cu Kα)), based on the PBE geometry in Alexandria.
No peak broadening, texture or thermal motion is included.

Most intense lines, 2θ from 10° to 90°, sorted by position:
2θ/deg, intensity
13.47, 13
13.68, 76
16.86, 16
21.65, 100
27.67, 15
33.84, 30
34.11, 31
36.49, 54
40.76, 23
41.88, 15
44.47, 20
44.81, 15

a b c (Å): 8.4172 8.4172 8.4172
angles (deg): 127.58 127.58 77.30
Fractional coordinates of all 9 atoms:
Na: 0.0000 0.5000 0.5000
Na: 0.2076 0.2076 0.0000
Na: 0.5000 0.0000 0.5000
Na: 0.7924 0.7924 0.0000
Hf: 0.5000 0.5000 0.0000
Te: 0.1659 0.5894 0.0000
Te: 0.4106 0.4106 0.5765
Te: 0.5894 0.1659 0.0000
Te: 0.8341 0.8341 0.4235